Calculated powder X-ray diffraction pattern of Nd4MgAlZn2 for λ = 1.5418 Å (Cu Kα), from a GGA-PBE-relaxed structure.

Cell: 9.1994 9.1994 9.1994 Å, 33.43 33.43 33.43°
Positions (direct):
Nd (0.1215, 0.1215, 0.1215)
Nd (0.3718, 0.3718, 0.3718)
Nd (0.6282, 0.6282, 0.6282)
Nd (0.8785, 0.8785, 0.8785)
Mg (0.5000, 0.5000, 0.5000)
Al (0.0000, 0.0000, 0.0000)
Zn (0.2449, 0.2449, 0.2449)
Zn (0.7551, 0.7551, 0.7551)

Top 12 peaks for 2θ = 15–90°, low angle first:
23.7°, I = 301; 33.8°, I = 1000; 41.8°, I = 69; 48.6°, I = 176; 54.7°, I = 62; 54.9°, I = 63; 60.4°, I = 82; 60.6°, I = 273; 71.1°, I = 50; 71.3°, I = 57; 81.1°, I = 70; 81.3°, I = 77

***

Calculated powder X-ray diffraction pattern of CeLuO for λ = 1.5418 Å (Cu Kα), from a GGA-PBE-relaxed structure.

Cell: 3.4355 3.4355 5.9825 Å, 90.00 90.00 120.00°
Positions (direct):
Ce (0.0000, 0.0000, 0.0000)
Lu (0.3333, 0.6667, 0.4703)
O (0.6667, 0.3333, 0.2765)

Top 12 peaks for 2θ = 15–90°, low angle first:
29.9°, I = 267; 30.0°, I = 186; 33.6°, I = 1000; 42.9°, I = 221; 53.3°, I = 199; 55.5°, I = 236; 62.3°, I = 230; 64.6°, I = 153; 80.6°, I = 80; 86.2°, I = 85; 88.0°, I = 59; 88.5°, I = 135

***

Calculated powder X-ray diffraction pattern of Sr2Bi4Pd5 for λ = 1.5418 Å (Cu Kα), from a GGA-PBE-relaxed structure.

Cell: 10.0589 9.0109 6.2746 Å, 80.13 61.95 37.92°
Positions (direct):
Sr (0.1328, 0.1328, 0.8672)
Sr (0.8672, 0.8672, 0.1328)
Bi (0.2141, 0.5326, 0.4674)
Bi (0.4674, 0.7859, 0.2141)
Bi (0.5326, 0.2141, 0.7859)
Bi (0.7859, 0.4674, 0.5326)
Pd (0.0000, 0.0000, 0.5000)
Pd (0.2500, 0.2500, 0.2500)
Pd (0.5000, 0.5000, 0.0000)
Pd (0.5000, 0.5000, 0.5000)
Pd (0.7500, 0.7500, 0.7500)

Top 12 peaks for 2θ = 15–90°, low angle first:
16.3°, I = 457; 17.2°, I = 588; 28.9°, I = 642; 32.7°, I = 1000; 35.8°, I = 968; 39.2°, I = 478; 39.3°, I = 347; 39.6°, I = 422; 42.8°, I = 390; 55.0°, I = 271; 58.9°, I = 298; 75.5°, I = 285

***

Calculated powder X-ray diffraction pattern of Sm12ZnRu6 for λ = 1.5418 Å (Cu Kα), from a GGA-PBE-relaxed structure.

Cell: 8.6684 8.6684 8.6684 Å, 109.47 109.47 109.47°
Positions (direct):
Sm (0.1000, 0.8034, 0.2965)
Sm (0.1966, 0.2965, 0.4931)
Sm (0.1966, 0.7035, 0.9000)
Sm (0.2965, 0.1000, 0.8034)
Sm (0.2965, 0.4931, 0.1966)
Sm (0.4931, 0.1966, 0.2965)
Sm (0.5069, 0.8034, 0.7035)
Sm (0.7035, 0.5069, 0.8034)
Sm (0.7035, 0.9000, 0.1966)
Sm (0.8034, 0.2965, 0.1000)
Sm (0.8034, 0.7035, 0.5069)
Sm (0.9000, 0.1966, 0.7035)
Zn (0.0000, 0.0000, 0.0000)
Ru (0.1226, 0.6226, 0.5000)
Ru (0.3774, 0.5000, 0.8774)
Ru (0.5000, 0.1226, 0.6226)
Ru (0.5000, 0.8774, 0.3774)
Ru (0.6226, 0.5000, 0.1226)
Ru (0.8774, 0.3774, 0.5000)

Top 12 peaks for 2θ = 15–90°, low angle first:
28.2°, I = 148; 30.9°, I = 440; 33.5°, I = 1000; 35.9°, I = 216; 38.1°, I = 108; 46.2°, I = 249; 53.4°, I = 251; 55.0°, I = 136; 56.7°, I = 301; 66.0°, I = 195; 81.6°, I = 120; 83.0°, I = 173